The following is a computed powder diffraction line list of Li5Ni3Sb2O10. It was derived from the GGA+U geometry in Alexandria, using Cu Kα (weighted mean of Kα1 and Kα2).

Main lines, in order of rising 2θ (2θ = 10–90°):
2theta	intensity	hkl
12.30	170	0 0 1
17.78	1000	0 1 -1
18.17	441	1 0 0
21.48	294	1 -1 0
25.03	240	0 1 1
36.00	323	0 2 -2
39.92	474	-1 2 1
42.82	390	2 1 -2
43.06	388	1 -1 3
59.87	247	2 -3 2

Crystal structure
a = 5.242 Å, b = 5.429 Å, c = 7.886 Å
α = 106.50°, β = 103.31°, γ = 101.81°
Space group P-1 (No. 2)
Inequivalent atoms, fractional coordinates:
Li: 0.000 0.000 0.000 [1 per cell]
Li: 0.095 0.199 0.698 [2 per cell]
Li: 0.267 0.630 0.120 [2 per cell]
Ni: 0.203 0.398 0.397 [2 per cell]
Ni: 0.500 0.000 0.500 [1 per cell]
Sb: 0.397 0.790 0.799 [2 per cell]
O: 0.064 0.603 0.846 [2 per cell]
O: 0.154 0.787 0.559 [2 per cell]
O: 0.268 0.027 0.253 [2 per cell]
O: 0.364 0.160 0.940 [2 per cell]
O: 0.452 0.441 0.667 [2 per cell]